Entry 1:
For Lu7Te2Pd2, DFT lattice parameters and positions (PBE) gives the computed X-ray diffraction stick pattern in this record (Cu Kα, 1.54184 Å).
Neutral-atom scattering factors, no anomalous dispersion.

Structural model:
abc: 9.237 9.237 9.237
angles: 155.66 67.58 118.06
Sites, in units of the cell vectors:
Lu 0.000 0.000 0.000
Lu 0.057 0.374 0.683
Lu 0.089 0.733 0.356
Lu 0.377 0.733 0.644
Lu 0.452 0.583 0.869
Lu 0.691 0.374 0.317
Lu 0.714 0.583 0.131
Te 0.340 0.340 0.000
Te 0.734 0.234 0.500
Pd 0.305 0.069 0.236
Pd 0.833 0.069 0.764

Largest 8 diffraction maxima, by angle, 10° ≤ 2θ ≤ 90°:
d (Å)  2theta  intensity
3.101  28.79  32
2.956  30.23  50
2.694  33.25  63
2.627  34.13  100
2.596  34.55  49
2.458  36.56  23
1.947  46.64  29
1.578  58.48  25


Entry 2:
For TmLuPd2, DFT lattice parameters and positions (PBE) gives the computed X-ray diffraction stick pattern in this record (Cu Kα, 1.54184 Å).
Neutral-atom scattering factors, no anomalous dispersion.

Structural model:
abc: 6.902 6.902 6.902
angles: 90.00 90.00 90.00
Sites, in units of the cell vectors:
Tm 0.000 0.000 0.000
Tm 0.000 0.500 0.500
Tm 0.500 0.000 0.500
Tm 0.500 0.500 0.000
Lu 0.000 0.000 0.500
Lu 0.000 0.500 0.000
Lu 0.500 0.000 0.000
Lu 0.500 0.500 0.500
Pd 0.250 0.250 0.250
Pd 0.250 0.250 0.750
Pd 0.250 0.750 0.250
Pd 0.250 0.750 0.750
Pd 0.750 0.250 0.250
Pd 0.750 0.250 0.750
Pd 0.750 0.750 0.250
Pd 0.750 0.750 0.750

Largest 8 diffraction maxima, by angle, 10° ≤ 2θ ≤ 90°:
d (Å)  2theta  intensity
3.451  25.82  6
2.440  36.83  100
1.993  45.52  2
1.726  53.07  17
1.543  59.93  3
1.409  66.35  36
1.220  78.37  11
1.091  89.88  16


Entry 3:
For Lu2ZnPd, DFT lattice parameters and positions (PBE) gives the computed X-ray diffraction stick pattern in this record (Cu Kα, 1.54184 Å).
Neutral-atom scattering factors, no anomalous dispersion.

Structural model:
abc: 6.903 6.903 6.903
angles: 90.00 90.00 90.00
Sites, in units of the cell vectors:
Lu 0.250 0.250 0.250
Lu 0.250 0.250 0.750
Lu 0.250 0.750 0.250
Lu 0.250 0.750 0.750
Lu 0.750 0.250 0.250
Lu 0.750 0.250 0.750
Lu 0.750 0.750 0.250
Lu 0.750 0.750 0.750
Zn 0.000 0.000 0.000
Zn 0.000 0.500 0.500
Zn 0.500 0.000 0.500
Zn 0.500 0.500 0.000
Pd 0.000 0.000 0.500
Pd 0.000 0.500 0.000
Pd 0.500 0.000 0.000
Pd 0.500 0.500 0.500

Largest 8 diffraction maxima, by angle, 10° ≤ 2θ ≤ 90°:
d (Å)  2theta  intensity
3.451  25.81  12
2.441  36.83  100
1.993  45.52  4
1.726  53.07  17
1.544  59.93  5
1.409  66.34  35
1.220  78.36  11
1.091  89.88  16


Entry 4:
For PmLuZn2, DFT lattice parameters and positions (PBE) gives the computed X-ray diffraction stick pattern in this record (Cu Kα, 1.54184 Å).
Neutral-atom scattering factors, no anomalous dispersion.

Structural model:
abc: 7.184 7.184 7.184
angles: 90.00 90.00 90.00
Sites, in units of the cell vectors:
Pm 0.000 0.000 0.000
Pm 0.000 0.500 0.500
Pm 0.500 0.000 0.500
Pm 0.500 0.500 0.000
Lu 0.000 0.000 0.500
Lu 0.000 0.500 0.000
Lu 0.500 0.000 0.000
Lu 0.500 0.500 0.500
Zn 0.250 0.250 0.250
Zn 0.250 0.250 0.750
Zn 0.250 0.750 0.250
Zn 0.250 0.750 0.750
Zn 0.750 0.250 0.250
Zn 0.750 0.250 0.750
Zn 0.750 0.750 0.250
Zn 0.750 0.750 0.750

Largest 8 diffraction maxima, by angle, 10° ≤ 2θ ≤ 90°:
d (Å)  2theta  intensity
3.592  24.79  18
2.540  35.34  100
2.074  43.64  5
1.796  50.84  18
1.606  57.35  8
1.467  63.43  36
1.270  74.75  11
1.136  85.48  16


Entry 5:
For PrLu3, DFT lattice parameters and positions (PBE) gives the computed X-ray diffraction stick pattern in this record (Cu Kα, 1.54184 Å).
Neutral-atom scattering factors, no anomalous dispersion.

Structural model:
abc: 7.162 7.162 5.626
angles: 90.00 90.00 120.00
Sites, in units of the cell vectors:
Pr 0.333 0.667 0.250
Pr 0.667 0.333 0.750
Lu 0.164 0.328 0.750
Lu 0.164 0.836 0.750
Lu 0.328 0.164 0.250
Lu 0.672 0.836 0.750
Lu 0.836 0.164 0.250
Lu 0.836 0.672 0.250

Largest 8 diffraction maxima, by angle, 10° ≤ 2θ ≤ 90°:
d (Å)  2theta  intensity
3.101  28.79  24
2.813  31.81  24
2.716  32.98  100
2.084  43.43  16
1.791  51.01  20
1.605  57.42  21
1.510  61.38  23
1.495  62.09  16


Entry 6:
For PrLuSe3, DFT lattice parameters and positions (PBE) gives the computed X-ray diffraction stick pattern in this record (Cu Kα, 1.54184 Å).
Neutral-atom scattering factors, no anomalous dispersion.

Structural model:
abc: 6.883 6.883 9.993
angles: 90.00 90.00 145.79
Sites, in units of the cell vectors:
Pr 0.248 0.752 0.750
Pr 0.752 0.248 0.250
Lu 0.500 0.500 0.000
Lu 0.500 0.500 0.500
Se 0.143 0.857 0.061
Se 0.143 0.857 0.439
Se 0.415 0.585 0.250
Se 0.585 0.415 0.750
Se 0.857 0.143 0.561
Se 0.857 0.143 0.939

Largest 8 diffraction maxima, by angle, 10° ≤ 2θ ≤ 90°:
d (Å)  2theta  intensity
3.979  22.34  88
2.974  30.05  100
2.851  31.37  74
2.556  35.11  67
2.525  35.56  40
2.025  44.77  34
2.018  44.91  35
2.008  45.15  47


Entry 7:
For Lu3Pt4, DFT lattice parameters and positions (PBE) gives the computed X-ray diffraction stick pattern in this record (Cu Kα, 1.54184 Å).
Neutral-atom scattering factors, no anomalous dispersion.

Structural model:
abc: 7.735 7.735 7.735
angles: 114.24 114.24 114.24
Sites, in units of the cell vectors:
Lu 0.025 0.404 0.280
Lu 0.280 0.025 0.404
Lu 0.404 0.280 0.025
Lu 0.596 0.720 0.975
Lu 0.720 0.975 0.596
Lu 0.975 0.596 0.720
Pt 0.000 0.000 0.000
Pt 0.064 0.229 0.553
Pt 0.229 0.553 0.064
Pt 0.447 0.936 0.771
Pt 0.500 0.500 0.500
Pt 0.553 0.064 0.229
Pt 0.771 0.447 0.936
Pt 0.936 0.771 0.447

Largest 8 diffraction maxima, by angle, 10° ≤ 2θ ≤ 90°:
d (Å)  2theta  intensity
2.733  32.76  24
2.455  36.60  100
2.358  38.17  76
2.349  38.32  18
2.097  43.13  18
1.701  53.92  17
1.397  66.98  23
1.283  73.84  12


Entry 8:
For LuPt, DFT lattice parameters and positions (PBE) gives the computed X-ray diffraction stick pattern in this record (Cu Kα, 1.54184 Å).
Neutral-atom scattering factors, no anomalous dispersion.

Structural model:
abc: 6.913 4.403 5.539
angles: 90.00 90.00 90.00
Sites, in units of the cell vectors:
Lu 0.180 0.250 0.140
Lu 0.320 0.750 0.640
Lu 0.680 0.250 0.360
Lu 0.820 0.750 0.860
Pt 0.046 0.250 0.657
Pt 0.454 0.750 0.157
Pt 0.546 0.250 0.843
Pt 0.954 0.750 0.343

Largest 8 diffraction maxima, by angle, 10° ≤ 2θ ≤ 90°:
d (Å)  2theta  intensity
2.719  32.95  78
2.571  34.90  50
2.441  36.83  100
2.220  40.64  92
2.201  41.00  51
1.672  54.91  28
1.650  55.72  24
1.320  71.46  23


Entry 9:
For LuPt3, DFT lattice parameters and positions (PBE) gives the computed X-ray diffraction stick pattern in this record (Cu Kα, 1.54184 Å).
Neutral-atom scattering factors, no anomalous dispersion.

Structural model:
abc: 4.078 4.078 4.078
angles: 90.00 90.00 90.00
Sites, in units of the cell vectors:
Lu 0.000 0.000 0.000
Pt 0.000 0.500 0.500
Pt 0.500 0.000 0.500
Pt 0.500 0.500 0.000

Largest 5 diffraction maxima, by angle, 10° ≤ 2θ ≤ 90°:
d (Å)  2theta  intensity
2.354  38.23  100
2.039  44.43  49
1.442  64.65  33
1.230  77.66  39
1.177  81.82  11


Entry 10:
For Lu2RuPt, DFT lattice parameters and positions (PBE) gives the computed X-ray diffraction stick pattern in this record (Cu Kα, 1.54184 Å).
Neutral-atom scattering factors, no anomalous dispersion.

Structural model:
abc: 6.753 6.753 6.753
angles: 90.00 90.00 90.00
Sites, in units of the cell vectors:
Lu 0.250 0.250 0.250
Lu 0.250 0.250 0.750
Lu 0.250 0.750 0.250
Lu 0.250 0.750 0.750
Lu 0.750 0.250 0.250
Lu 0.750 0.250 0.750
Lu 0.750 0.750 0.250
Lu 0.750 0.750 0.750
Ru 0.000 0.000 0.000
Ru 0.000 0.500 0.500
Ru 0.500 0.000 0.500
Ru 0.500 0.500 0.000
Pt 0.000 0.000 0.500
Pt 0.000 0.500 0.000
Pt 0.500 0.000 0.000
Pt 0.500 0.500 0.500

Largest 8 diffraction maxima, by angle, 10° ≤ 2θ ≤ 90°:
d (Å)  2theta  intensity
3.899  22.81  4
2.388  37.67  100
2.036  44.49  2
1.688  54.34  17
1.549  59.68  1
1.379  68.00  36
1.194  80.44  11
1.142  84.96  1


Entry 11:
For Lu5SbPt2, DFT lattice parameters and positions (PBE) gives the computed X-ray diffraction stick pattern in this record (Cu Kα, 1.54184 Å).
Neutral-atom scattering factors, no anomalous dispersion.

Structural model:
abc: 8.636 8.636 8.636
angles: 128.00 128.00 76.62
Sites, in units of the cell vectors:
Lu 0.000 0.000 0.000
Lu 0.022 0.522 0.820
Lu 0.201 0.022 0.500
Lu 0.299 0.799 0.820
Lu 0.478 0.299 0.500
Lu 0.500 0.500 0.000
Lu 0.522 0.701 0.500
Lu 0.701 0.201 0.180
Lu 0.799 0.978 0.500
Lu 0.978 0.478 0.180
Sb 0.250 0.250 0.000
Sb 0.750 0.750 0.000
Pt 0.137 0.363 0.500
Pt 0.363 0.863 0.226
Pt 0.637 0.137 0.774
Pt 0.863 0.637 0.500

Largest 8 diffraction maxima, by angle, 10° ≤ 2θ ≤ 90°:
d (Å)  2theta  intensity
6.776  13.07  20
2.709  33.06  100
2.525  35.56  20
2.394  37.57  49
2.116  42.73  21
1.694  54.16  15
1.383  67.76  15
1.342  70.10  16


Entry 12:
For LuSiPt, DFT lattice parameters and positions (PBE) gives the computed X-ray diffraction stick pattern in this record (Cu Kα, 1.54184 Å).
Neutral-atom scattering factors, no anomalous dispersion.

Structural model:
abc: 6.867 4.244 7.413
angles: 90.00 90.00 90.00
Sites, in units of the cell vectors:
Lu 0.003 0.250 0.199
Lu 0.497 0.750 0.699
Lu 0.503 0.250 0.301
Lu 0.997 0.750 0.801
Si 0.185 0.250 0.589
Si 0.315 0.750 0.089
Si 0.685 0.250 0.911
Si 0.815 0.750 0.411
Pt 0.202 0.750 0.414
Pt 0.298 0.250 0.914
Pt 0.702 0.750 0.086
Pt 0.798 0.250 0.586

Largest 8 diffraction maxima, by angle, 10° ≤ 2θ ≤ 90°:
d (Å)  2theta  intensity
3.262  27.34  28
3.246  27.48  55
2.586  34.68  44
2.519  35.64  38
2.512  35.75  100
2.136  42.32  49
2.122  42.60  36
1.364  68.83  22


Entry 13:
For Rb3Lu, DFT lattice parameters and positions (PBE) gives the computed X-ray diffraction stick pattern in this record (Cu Kα, 1.54184 Å).
Neutral-atom scattering factors, no anomalous dispersion.

Structural model:
abc: 6.357 6.357 13.109
angles: 90.00 90.00 90.00
Sites, in units of the cell vectors:
Rb 0.000 0.000 0.000
Rb 0.000 0.500 0.250
Rb 0.000 0.500 0.750
Rb 0.500 0.000 0.250
Rb 0.500 0.000 0.750
Rb 0.500 0.500 0.500
Lu 0.000 0.000 0.500
Lu 0.500 0.500 0.000

Largest 8 diffraction maxima, by angle, 10° ≤ 2θ ≤ 90°:
d (Å)  2theta  intensity
3.707  24.01  100
3.277  27.21  18
3.178  28.07  34
2.282  39.50  27
1.965  46.20  17
1.922  47.30  32
1.853  49.16  14
1.479  62.82  14


Entry 14:
For Rb3Lu, DFT lattice parameters and positions (PBE) gives the computed X-ray diffraction stick pattern in this record (Cu Kα, 1.54184 Å).
Neutral-atom scattering factors, no anomalous dispersion.

Structural model:
abc: 6.426 6.426 6.426
angles: 90.00 90.00 90.00
Sites, in units of the cell vectors:
Rb 0.000 0.000 0.500
Rb 0.000 0.500 0.000
Rb 0.500 0.000 0.000
Lu 0.500 0.500 0.500

Largest 8 diffraction maxima, by angle, 10° ≤ 2θ ≤ 90°:
d (Å)  2theta  intensity
3.710  23.99  100
3.213  27.77  52
2.272  39.67  40
1.937  46.90  49
1.855  49.12  14
1.474  63.06  20
1.437  64.90  18
1.237  77.13  15


Entry 15:
For RbLuS2, DFT lattice parameters and positions (PBE) gives the computed X-ray diffraction stick pattern in this record (Cu Kα, 1.54184 Å).
Neutral-atom scattering factors, no anomalous dispersion.

Structural model:
abc: 3.997 3.997 22.989
angles: 90.00 90.00 120.00
Sites, in units of the cell vectors:
Rb 0.000 0.000 0.000
Rb 0.333 0.667 0.667
Rb 0.667 0.333 0.333
Lu 0.000 0.000 0.500
Lu 0.333 0.667 0.167
Lu 0.667 0.333 0.833
S 0.000 0.000 0.229
S 0.000 0.000 0.771
S 0.333 0.667 0.437
S 0.333 0.667 0.896
S 0.667 0.333 0.104
S 0.667 0.333 0.563

Largest 8 diffraction maxima, by angle, 10° ≤ 2θ ≤ 90°:
d (Å)  2theta  intensity
7.663  11.55  39
3.831  23.22  28
3.315  26.90  49
2.965  30.14  100
2.211  40.81  37
1.999  45.38  33
1.915  47.47  23
1.772  51.58  20